1.
Diffraction record for Li9Mn7O16. The X-ray diffraction stick pattern is theoretical, not measured: it uses a DFT-relaxed cell (GGA+U, the Materials Project) and Cu Kα.

Peak list (10 most intense, 2θ from 10° to 80°, in order of falling intensity)
Position (°2θ), d/Å, Rel. int.
18.1, 4.914, 100
44.1, 2.053, 56
39.5, 2.282, 41
36.2, 2.485, 27
33.0, 2.715, 23
60.4, 1.533, 19
61.0, 1.520, 18
65.0, 1.434, 14
46.3, 1.962, 12
58.0, 1.590, 9

Structure:
Cell: 3.083 3.083 39.339 Å, 91.93 91.93 55.46°
Element x y z (fractional)
Li1 0.000 0.000 0.000
Li2 0.062 0.062 0.813
Li3 0.188 0.188 0.438
Li4 0.319 0.319 0.059
Li5 0.437 0.437 0.688
Li6 0.563 0.563 0.312
Li7 0.681 0.681 0.941
Li8 0.812 0.812 0.562
Li9 0.938 0.938 0.187
Mn1 0.125 0.125 0.625
Mn2 0.250 0.250 0.250
Mn3 0.372 0.372 0.875
Mn4 0.500 0.500 0.500
Mn5 0.628 0.628 0.125
Mn6 0.750 0.750 0.750
Mn7 0.875 0.875 0.375
O1 0.022 0.022 0.902
O2 0.111 0.111 0.721
O3 0.139 0.139 0.529
O4 0.236 0.236 0.346
O5 0.267 0.267 0.154
O6 0.348 0.348 0.969
O7 0.389 0.389 0.779
O8 0.486 0.486 0.596
O9 0.514 0.514 0.404
O10 0.611 0.611 0.221
O11 0.652 0.652 0.031
O12 0.733 0.733 0.846
O13 0.764 0.764 0.654
O14 0.861 0.861 0.471
O15 0.889 0.889 0.279
O16 0.978 0.978 0.098

2.
Diffraction record for ZnFeSiO5. The X-ray diffraction stick pattern is theoretical, not measured: it uses a DFT-relaxed cell (GGA+U, the Materials Project) and Cu Kα.

Peak list (10 most intense, 2θ from 10° to 80°, in order of falling intensity)
Position (°2θ), d/Å, Rel. int.
27.6, 3.235, 100
27.3, 3.268, 98
36.0, 2.496, 56
51.2, 1.785, 23
54.3, 1.688, 22
18.0, 4.939, 22
36.2, 2.484, 18
54.5, 1.684, 15
40.0, 2.253, 13
56.9, 1.618, 12

Structure:
Cell: 5.467 5.488 7.141 Å, 108.70 108.54 95.64°
Element x y z (fractional)
Zn1 0.000 0.000 0.000
Zn2 0.326 0.583 0.490
Fe1 0.665 0.296 0.756
Fe2 0.667 0.295 0.256
Si1 0.032 0.959 0.511
Si2 0.303 0.635 0.002
O1 0.357 0.983 0.604
O2 0.375 0.963 0.112
O3 0.387 0.495 0.178
O4 0.419 0.530 0.812
O5 0.591 0.376 0.507
O6 0.742 0.215 0.005
O7 0.916 0.060 0.702
O8 0.950 0.105 0.340
O9 0.956 0.631 0.396
O10 0.977 0.606 0.907